# Li4Cu3Ni2Sb3O16
Theoretical powder X-ray diffraction pattern, Cu Kα, 1.54184 Å. Input: the GGA+U geometry in Alexandria.

Main lines, most intense first (10 to 80 degrees two-theta):
d 4.772, 2θ = 18.60°, intensity 100; d 4.602, 2θ = 19.29°, intensity 48; d 2.550, 2θ = 35.19°, intensity 42; d 2.517, 2θ = 35.68°, intensity 33; d 2.527, 2θ = 35.53°, intensity 32; d 1.525, 2θ = 60.75°, intensity 30; d 2.028, 2θ = 44.69°, intensity 27; d 4.670, 2θ = 19.00°, intensity 27; d 4.571, 2θ = 19.42°, intensity 25; d 1.537, 2θ = 60.22°, intensity 24

Structural model:
Cell: 6.1000 6.1000 9.5443 Å, 90.79 90.79 59.01°
Fractional positions:
Li  0.0000  0.0000  0.0000
Li  0.3186  0.3186  0.4707
Li  0.5534  0.5534  0.5733
Li  0.6606  0.6606  0.1152
Cu  0.3287  0.8346  0.3231
Cu  0.5001  0.5001  0.8343
Cu  0.8346  0.3287  0.3231
Ni  0.0053  0.0053  0.5947
Ni  0.3388  0.3388  0.1087
Sb  0.0037  0.5008  0.8134
Sb  0.5008  0.0037  0.8134
Sb  0.8364  0.8364  0.3299
O  0.1414  0.1414  0.4398
O  0.1550  0.6957  0.4525
O  0.1850  0.1850  0.9394
O  0.1886  0.6274  0.9367
O  0.3103  0.3103  0.6884
O  0.3529  0.8138  0.7176
O  0.5105  0.5105  0.2131
O  0.5144  0.9898  0.2123
O  0.6274  0.1886  0.9367
O  0.6689  0.6689  0.4286
O  0.6930  0.6930  0.9325
O  0.6957  0.1550  0.4525
O  0.8138  0.3529  0.7176
O  0.8303  0.8303  0.7041
O  0.9898  0.5144  0.2123
O  0.9951  0.9951  0.2133